Diffraction record for NaSrInSn2. The powder diffractogram is computed, not measured: it uses a cell relaxed with PBE and a wavelength of 1.5418 Å.
Lines closer than 0.1° are merged.

Structure:
```
data_NaSrInSn2
_cell_length_a 4.8022
_cell_length_b 4.8022
_cell_length_c 13.3880
_cell_angle_alpha 90.00
_cell_angle_beta 90.00
_cell_angle_gamma 90.00
_symmetry_space_group_name_H-M 'I -4 m 2'
_symmetry_Int_Tables_number 119
_symmetry_space_group_name_Hall 'I -4 -2'
loop_
_atom_site_label
_atom_site_type_symbol
_atom_site_fract_x
_atom_site_fract_y
_atom_site_fract_z
Na1 Na 0.0000 0.0000 0.0000
Sr1 Sr 0.0000 0.5000 0.2500
In1 In 0.0000 0.0000 0.5000
Sn1 Sn 0.0000 0.5000 0.6430
```

Principal peaks in the range 10 to 90 degrees two-theta, by intensity:
d (Å), I_rel
3.028, 100
2.401, 73
2.339, 69
3.269, 69
4.520, 62
1.675, 58
2.384, 47
1.935, 31
3.396, 29
1.373, 29



Diffraction record for NaSrIn2Sn2. The powder diffractogram is computed, not measured: it uses a cell relaxed with PBE and a wavelength of 1.5418 Å.
Lines closer than 0.1° are merged.

Structure:
```
data_NaSrIn2Sn2
_cell_length_a 5.1148
_cell_length_b 5.1148
_cell_length_c 7.6990
_cell_angle_alpha 90.00
_cell_angle_beta 90.00
_cell_angle_gamma 120.00
_symmetry_space_group_name_H-M 'P -3 m 1'
_symmetry_Int_Tables_number 164
_symmetry_space_group_name_Hall '-P 3 2"'
loop_
_atom_site_label
_atom_site_type_symbol
_atom_site_fract_x
_atom_site_fract_y
_atom_site_fract_z
Na1 Na 0.0000 0.0000 0.0000
Sr1 Sr 0.0000 0.0000 0.5000
In1 In 0.3333 0.6667 0.1633
Sn1 Sn 0.3333 0.6667 0.7480
```

Principal peaks in the range 10 to 90 degrees two-theta, by intensity:
d (Å), I_rel
2.557, 100
2.906, 96
3.843, 43
1.920, 29
1.535, 28
2.130, 25
2.221, 20
1.454, 20
1.477, 18
4.430, 18



Diffraction record for Na2Tl2InSn. The powder diffractogram is computed, not measured: it uses a cell relaxed with PBE and a wavelength of 1.5418 Å.
Lines closer than 0.1° are merged.

Structure:
```
data_Na2Tl2InSn
_cell_length_a 15.6985
_cell_length_b 6.6639
_cell_length_c 6.8441
_cell_angle_alpha 90.00
_cell_angle_beta 90.00
_cell_angle_gamma 90.00
_symmetry_space_group_name_H-M 'C m c m'
_symmetry_Int_Tables_number 63
_symmetry_space_group_name_Hall '-C 2c 2'
loop_
_atom_site_label
_atom_site_type_symbol
_atom_site_fract_x
_atom_site_fract_y
_atom_site_fract_z
Na1 Na 0.1553 0.2427 0.2500
Tl1 Tl 0.1392 0.2584 0.7500
In1 In 0.0000 0.5000 0.0000
Sn1 Sn 0.0000 0.0000 0.0000
```

Principal peaks in the range 10 to 90 degrees two-theta, by intensity:
d (Å), I_rel
4.568, 100
2.579, 97
2.540, 92
3.527, 92
2.387, 88
1.419, 45
3.137, 42
3.067, 39
2.618, 38
7.849, 37



Diffraction record for Na2Tl6InSn. The powder diffractogram is computed, not measured: it uses a cell relaxed with PBE and a wavelength of 1.5418 Å.
Lines closer than 0.1° are merged.

Structure:
```
data_Na2Tl6InSn
_cell_length_a 8.5283
_cell_length_b 8.0954
_cell_length_c 12.0616
_cell_angle_alpha 90.00
_cell_angle_beta 133.84
_cell_angle_gamma 90.00
_symmetry_space_group_name_H-M 'P 1 21/c 1'
_symmetry_Int_Tables_number 14
loop_
_symmetry_equiv_pos_as_xyz
'x,y,z'
'-x,-y,-z'
'-x,y+1/2,-z+1/2'
'x,-y+1/2,z+1/2'
loop_
_atom_site_label
_atom_site_type_symbol
_atom_site_fract_x
_atom_site_fract_y
_atom_site_fract_z
Na1 Na 0.1834 0.1938 0.2570
Tl1 Tl 0.0948 0.1343 0.9482
Tl2 Tl 0.2944 0.6448 0.9434
Tl3 Tl 0.4574 0.6436 0.7534
In1 In 0.0000 0.0000 0.5000
Sn1 Sn 0.5000 0.0000 0.0000
```

Principal peaks in the range 10 to 90 degrees two-theta, by intensity:
d (Å), I_rel
2.789, 100
3.668, 94
2.682, 85
2.811, 84
2.574, 71
2.765, 61
2.825, 52
2.875, 47
2.729, 39
3.772, 33



Diffraction record for NaSrIn. The powder diffractogram is computed, not measured: it uses a cell relaxed with PBE and a wavelength of 1.5418 Å.
Lines closer than 0.1° are merged.

Structure:
```
data_NaSrIn
_cell_length_a 4.2476
_cell_length_b 4.2476
_cell_length_c 11.2163
_cell_angle_alpha 90.00
_cell_angle_beta 90.00
_cell_angle_gamma 90.00
_symmetry_space_group_name_H-M 'I 4 m m'
_symmetry_Int_Tables_number 107
_symmetry_space_group_name_Hall 'I 4 -2'
loop_
_atom_site_label
_atom_site_type_symbol
_atom_site_fract_x
_atom_site_fract_y
_atom_site_fract_z
Na1 Na 0.0000 0.0000 0.0000
Sr1 Sr 0.0000 0.0000 0.3058
In1 In 0.0000 0.0000 0.6379
```

Principal peaks in the range 10 to 90 degrees two-theta, by intensity:
d (Å), I_rel
2.806, 100
3.004, 60
1.694, 44
3.972, 30
2.124, 22
5.608, 18
1.587, 15
1.871, 14
1.403, 12
2.648, 12



Diffraction record for Na2SrIn4. The powder diffractogram is computed, not measured: it uses a cell relaxed with PBE and a wavelength of 1.5418 Å.
Lines closer than 0.1° are merged.

Structure:
```
data_Na2SrIn4
_cell_length_a 20.3298
_cell_length_b 6.6205
_cell_length_c 6.2054
_cell_angle_alpha 90.00
_cell_angle_beta 94.81
_cell_angle_gamma 90.00
_symmetry_space_group_name_H-M 'C 1 2/c 1'
_symmetry_Int_Tables_number 15
loop_
_symmetry_equiv_pos_as_xyz
'x,y,z'
'-x,-y,-z'
'-x,y,-z+1/2'
'x,-y,z+1/2'
'x+1/2,y+1/2,z'
'-x+1/2,-y+1/2,-z'
'-x+1/2,y+1/2,-z+1/2'
'x+1/2,-y+1/2,z+1/2'
loop_
_atom_site_label
_atom_site_type_symbol
_atom_site_fract_x
_atom_site_fract_y
_atom_site_fract_z
Na1 Na 0.2040 0.0967 0.1936
Sr1 Sr 0.0000 0.2957 0.2500
In1 In 0.0760 0.1737 0.7813
In2 In 0.1534 0.4656 0.5138
```

Principal peaks in the range 10 to 90 degrees two-theta, by intensity:
d (Å), I_rel
2.929, 100
4.727, 94
2.652, 92
2.834, 86
2.744, 66
2.259, 65
3.146, 61
2.521, 59
2.508, 46
2.192, 44